Diffraction record for PbW2O8. The X-ray diffraction stick pattern is theoretical, not measured: it uses a DFT-relaxed cell (PBE+U, Alexandria) and a wavelength of 1.5418 Å.

Peak list (10 most intense, 15° ≤ 2θ ≤ 90°, by intensity)
| 2θ (°) | I_rel | (hkl) |
| --- | --- | --- |
| 22.1 | 1000 | 0 1 1 |
| 29.5 | 447 | 1 1 0 |
| 33.3 | 260 | 1 0 2 |
| 48.2 | 253 | 1 2 1 |
| 45.1 | 163 | 0 2 2 |
| 37.2 | 161 | 2 0 1 |
| 54.8 | 133 | 2 1 2 |
| 53.2 | 115 | 1 1 3 |
| 66.0 | 99 | 3 1 1 |
| 52.4 | 93 | 3 0 0 |

Atomic structure:
Lattice parameters (Å, degrees): 6.051 6.051 6.274 90.00 90.00 120.00
Sites, in units of the cell vectors:
Pb 0.000 0.000 0.000
W 0.333 0.667 0.288
W 0.667 0.333 0.712
O 0.167 0.335 0.197
O 0.167 0.833 0.197
O 0.333 0.667 0.568
O 0.335 0.167 0.803
O 0.665 0.833 0.197
O 0.667 0.333 0.432
O 0.833 0.167 0.803
O 0.833 0.665 0.803